This entry pairs a crystal structure of LiCa2Pd5Au2 with its computed powder diffraction line list. Radiation: CuKα. Structure: a DFT-relaxed cell (PBE, Alexandria).
Kinematic intensities with the Lorentz-polarization factor, no thermal factor.

Top 12 peaks for 15 to 90 degrees two-theta, by intensity:
2θ (°)	I/Imax	index
36.60	100	3 1 1
20.73	81	2 1 0
40.18	75	3 2 1
43.52	40	4 0 1
43.19	33	0 0 2
24.99	29	1 1 1
48.38	23	2 1 2
69.32	22	7 1 0
39.91	22	3 3 0
38.74	21	4 1 0
85.30	15	7 1 2
60.26	13	3 3 2

Lattice parameters (Å, degrees): 9.583 9.583 4.189 90.00 90.00 90.00
Space group P4/mbm (No. 127)
Symmetry-distinct sites (fractional):
Li: 0.000 0.000 0.000
Ca: 0.172 0.328 0.000
Pd: 0.000 0.500 0.500
Pd: 0.064 0.804 0.500
Au: 0.126 0.626 0.000